1.
NbO3: theoretical PXRD pattern (CuKα), based on the GGA-PBE geometry in the Materials Project.
Kinematic intensities with the Lorentz-polarization factor, no thermal factor.

Crystal structure
a b c (Å): 7.9500 7.9500 7.9500
angles (deg): 90.00 90.00 90.00
Space group Im-3 (No. 204)
One atom of each set of equivalent atoms:
Nb: 0.2500 0.2500 0.2500 x8
O: 0.0000 0.2329 0.2661 x24

Largest 10 diffraction maxima, by angle, 10° ≤ 2θ ≤ 90°:
Position (°2θ)  intensity
22.37  100
31.84  39
39.26  6
45.65  22
51.40  38
56.73  16
66.53  12
71.16  16
75.66  7
88.74  7


2.
Nb2O5: theoretical PXRD pattern (CuKα), based on the GGA-PBE geometry in the Materials Project.
Kinematic intensities with the Lorentz-polarization factor, no thermal factor.

Crystal structure
a b c (Å): 3.8619 14.7147 15.4364
angles (deg): 104.90 97.19 97.53
Space group P1 (No. 1)
One atom of each set of equivalent atoms:
Nb: 0.0000 0.0000 0.0000 x1
Nb: 0.0009 0.5750 0.4675 x1
Nb: 0.1382 0.8398 0.4686 x1
Nb: 0.1462 0.2678 0.9997 x1
Nb: 0.1922 0.5445 0.2707 x1
Nb: 0.2751 0.1115 0.4707 x1
Nb: 0.3252 0.3889 0.7421 x1
Nb: 0.3304 0.8163 0.2729 x1
Nb: 0.4350 0.6569 0.7422 x1
Nb: 0.4660 0.0814 0.2742 x1
Nb: 0.5683 0.9201 0.7392 x1
Nb: 0.5947 0.3509 0.2699 x1
Nb: 0.7159 0.1900 0.7367 x1
Nb: 0.7561 0.4665 0.0049 x1
Nb: 0.8743 0.3059 0.4720 x1
Nb: 0.8990 0.7369 0.0030 x1
O: 0.0353 0.0963 0.3155 x1
O: 0.0424 0.7019 0.4522 x1
O: 0.0755 0.9328 0.7286 x1
O: 0.0788 0.3459 0.5946 x1
O: 0.0966 0.1460 0.0082 x1
O: 0.1251 0.7792 0.1501 x1
O: 0.1342 0.3884 0.2838 x1
O: 0.1938 0.5997 0.5883 x1
O: 0.1944 0.9839 0.4594 x1
O: 0.2217 0.2254 0.7291 x1
O: 0.2484 0.4311 0.0119 x1
O: 0.2724 0.0573 0.1537 x1
O: 0.2730 0.6720 0.2811 x1
O: 0.3350 0.2684 0.4583 x1
O: 0.3430 0.8768 0.5915 x1
O: 0.3771 0.5111 0.7344 x1
O: 0.3915 0.7236 0.0126 x1
O: 0.3915 0.3121 0.1472 x1
O: 0.4253 0.9543 0.2890 x1
O: 0.4321 0.5604 0.4261 x1
O: 0.4842 0.1622 0.5934 x1
O: 0.5111 0.7875 0.7338 x1
O: 0.5342 0.4200 0.8725 x1
O: 0.5488 0.0137 0.0198 x1
O: 0.5848 0.8418 0.4331 x1
O: 0.5975 0.2382 0.3095 x1
O: 0.6368 0.0633 0.7254 x1
O: 0.6594 0.6864 0.8712 x1
O: 0.6823 0.3071 0.0100 x1
O: 0.7162 0.5141 0.2969 x1
O: 0.7517 0.1423 0.4448 x1
O: 0.7878 0.3493 0.7313 x1
O: 0.8044 0.9708 0.8708 x1
O: 0.8338 0.5932 0.0165 x1
O: 0.8707 0.4186 0.4324 x1
O: 0.8830 0.8139 0.3080 x1
O: 0.9177 0.6424 0.7222 x1
O: 0.9360 0.2361 0.8691 x1
O: 0.9592 0.8694 0.0084 x1
O: 0.9835 0.4932 0.1479 x1

Largest 10 diffraction maxima, by angle, 10° ≤ 2θ ≤ 90°:
Position (°2θ)  intensity
18.09  24
18.26  24
23.56  37
24.20  100
24.43  85
24.66  37
31.74  27
43.04  22
43.42  22
48.76  44


3.
Nb2O5: theoretical PXRD pattern (CuKα), based on the GGA-PBE geometry in the Materials Project.
Kinematic intensities with the Lorentz-polarization factor, no thermal factor.

Crystal structure
a b c (Å): 3.8627 14.7110 15.4386
angles (deg): 104.89 97.18 97.53
Space group P1 (No. 1)
One atom of each set of equivalent atoms:
Nb: 0.0000 0.0000 0.0000 x1
Nb: 0.0230 0.8172 0.2735 x1
Nb: 0.0824 0.6269 0.5362 x1
Nb: 0.1351 0.2719 0.0019 x1
Nb: 0.1600 0.0808 0.2701 x1
Nb: 0.2258 0.8968 0.5345 x1
Nb: 0.2520 0.7047 0.8018 x1
Nb: 0.3092 0.3503 0.2677 x1
Nb: 0.3309 0.1604 0.5312 x1
Nb: 0.3880 0.9766 0.8039 x1
Nb: 0.4769 0.4280 0.5310 x1
Nb: 0.5224 0.2417 0.8052 x1
Nb: 0.6553 0.5109 0.8009 x1
Nb: 0.7330 0.4665 0.0034 x1
Nb: 0.8638 0.7353 0.9989 x1
Nb: 0.9136 0.5494 0.2732 x1
O: 0.0030 0.4680 0.5415 x1
O: 0.0506 0.2568 0.8471 x1
O: 0.0653 0.1441 0.9903 x1
O: 0.0820 0.0368 0.1229 x1
O: 0.1078 0.9481 0.2650 x1
O: 0.1190 0.8462 0.4023 x1
O: 0.1482 0.7538 0.5479 x1
O: 0.1661 0.6533 0.6791 x1
O: 0.1813 0.5492 0.8154 x1
O: 0.2068 0.4283 0.9892 x1
O: 0.2212 0.3226 0.1246 x1
O: 0.2414 0.2234 0.2565 x1
O: 0.2644 0.1317 0.4023 x1
O: 0.2808 0.0294 0.5396 x1
O: 0.3056 0.9398 0.6811 x1
O: 0.3227 0.8324 0.8125 x1
O: 0.3359 0.7205 0.9568 x1
O: 0.3867 0.5089 0.2621 x1
O: 0.3972 0.3960 0.4003 x1
O: 0.4183 0.3063 0.5392 x1
O: 0.4491 0.2175 0.6847 x1
O: 0.4671 0.1148 0.8204 x1
O: 0.4819 0.0020 0.9639 x1
O: 0.5272 0.8027 0.2536 x1
O: 0.5671 0.5912 0.5432 x1
O: 0.5749 0.4725 0.6783 x1
O: 0.6186 0.3987 0.8408 x1
O: 0.6372 0.3027 0.9760 x1
O: 0.6785 0.0929 0.2606 x1
O: 0.7086 0.8843 0.5429 x1
O: 0.7496 0.6743 0.8282 x1
O: 0.7686 0.5788 0.9635 x1
O: 0.8147 0.5062 0.1259 x1
O: 0.8230 0.3858 0.2601 x1
O: 0.8595 0.1739 0.5507 x1
O: 0.9057 0.9742 0.8395 x1
O: 0.9206 0.8621 0.9832 x1
O: 0.9359 0.7601 0.1198 x1
O: 0.9732 0.6714 0.2658 x1
O: 0.9925 0.5806 0.4038 x1

Largest 10 diffraction maxima, by angle, 10° ≤ 2θ ≤ 90°:
Position (°2θ)  intensity
18.09  24
18.26  24
23.33  75
24.19  100
24.44  85
31.73  48
32.23  29
43.03  22
47.05  33
52.74  26


4.
Nb4O5: theoretical PXRD pattern (CuKα), based on the GGA-PBE geometry in the Materials Project.
Kinematic intensities with the Lorentz-polarization factor, no thermal factor.

Crystal structure
a b c (Å): 6.7456 6.7456 4.8556
angles (deg): 90.00 90.00 90.00
Space group P4_2/nmc (No. 137, origin choice 2)
One atom of each set of equivalent atoms:
Nb: 0.0461 0.2500 0.0461 x8
O: 0.0362 0.5362 0.2500 x8
O: 0.2500 0.7500 0.7500 x2

Largest 10 diffraction maxima, by angle, 10° ≤ 2θ ≤ 90°:
Position (°2θ)  intensity
18.60  14
32.32  100
37.03  9
37.72  18
39.45  9
46.50  23
53.89  21
54.41  10
64.71  12
86.47  11


5.
NbO3: theoretical PXRD pattern (CuKα), based on the GGA-PBE geometry in the Materials Project.
Kinematic intensities with the Lorentz-polarization factor, no thermal factor.

Crystal structure
a b c (Å): 3.9858 3.9858 4.0014
angles (deg): 90.00 90.00 90.00
Space group P4mm (No. 99)
One atom of each set of equivalent atoms:
Nb: 0.0000 0.0000 0.0000 x1
O: 0.0000 0.0000 0.5161 x1
O: 0.0000 0.5000 0.0221 x2

Largest 10 diffraction maxima, by angle, 10° ≤ 2θ ≤ 90°:
Position (°2θ)  intensity
22.28  100
31.71  38
45.33  7
45.52  15
51.08  13
51.23  25
56.52  10
66.19  8
70.80  9
70.91  7


6.
Nb2O5: theoretical PXRD pattern (CuKα), based on the GGA-PBE geometry in the Materials Project.
Kinematic intensities with the Lorentz-polarization factor, no thermal factor.

Crystal structure
a b c (Å): 5.3433 9.7019 9.9785
angles (deg): 90.00 90.00 90.00
Space group P2_12_12_1 (No. 19)
One atom of each set of equivalent atoms:
Nb: 0.1135 0.0307 0.2832 x4
Nb: 0.1188 0.6546 0.9021 x4
O: 0.0254 0.0178 0.4658 x4
O: 0.1076 0.2947 0.5276 x4
O: 0.1362 0.0959 0.7380 x4
O: 0.1654 0.5020 0.3252 x4
O: 0.2273 0.2137 0.2671 x4

Largest 10 diffraction maxima, by angle, 10° ≤ 2θ ≤ 90°:
Position (°2θ)  intensity
12.73  100
20.96  45
24.41  26
24.79  26
25.61  20
26.10  38
26.37  44
31.69  18
33.02  19
36.01  19


7.
Nb2O5: theoretical PXRD pattern (CuKα), based on the GGA-PBE geometry in the Materials Project.
Kinematic intensities with the Lorentz-polarization factor, no thermal factor.

Crystal structure
a b c (Å): 29.3795 3.7904 18.0653
angles (deg): 90.00 125.10 90.00
Space group C2/m (No. 12)
One atom of each set of equivalent atoms:
Nb: 0.0234 0.0000 0.3733 x4
Nb: 0.0609 0.0000 0.1018 x4
Nb: 0.0752 0.0000 0.9031 x4
Nb: 0.1106 0.0000 0.6337 x4
Nb: 0.1551 0.0000 0.3723 x4
Nb: 0.1601 0.5000 0.1016 x4
Nb: 0.2057 0.0000 0.9002 x4
Nb: 0.2469 0.0000 0.6342 x4
O: 0.0149 0.0000 0.9387 x4
O: 0.0158 0.5000 0.3425 x4
O: 0.0271 0.0000 0.7839 x4
O: 0.0466 0.0000 0.6361 x4
O: 0.0706 0.0000 0.5021 x4
O: 0.0741 0.5000 0.0875 x4
O: 0.0891 0.5000 0.9465 x4
O: 0.0904 0.0000 0.3654 x4
O: 0.1024 0.0000 0.2239 x4
O: 0.1287 0.5000 0.6437 x4
O: 0.1319 0.0000 0.0760 x4
O: 0.1460 0.0000 0.9171 x4
O: 0.1624 0.0000 0.7774 x4
O: 0.1694 0.5000 0.3599 x4
O: 0.1901 0.0000 0.6447 x4
O: 0.1950 0.5000 0.2236 x4
O: 0.2048 0.0000 0.5010 x4
O: 0.2183 0.5000 0.0911 x4
O: 0.2260 0.5000 0.9379 x4
O: 0.2297 0.0000 0.3574 x4

Largest 10 diffraction maxima, by angle, 10° ≤ 2θ ≤ 90°:
Position (°2θ)  intensity
18.00  18
23.77  60
24.07  100
24.26  71
31.94  24
32.48  24
33.68  18
48.01  26
52.63  22
54.45  31


8.
Nb2O5: theoretical PXRD pattern (CuKα), based on the GGA-PBE geometry in the Materials Project.
Kinematic intensities with the Lorentz-polarization factor, no thermal factor.

Crystal structure
a b c (Å): 6.1822 5.2526 5.8451
angles (deg): 90.00 118.62 90.00
Space group C2 (No. 5)
One atom of each set of equivalent atoms:
Nb: 0.1897 0.0000 0.2951 x4
O: 0.0000 0.2435 0.5000 x2
O: 0.0769 0.6748 0.3537 x4
O: 0.1769 0.0216 0.9640 x4

Largest 10 diffraction maxima, by angle, 10° ≤ 2θ ≤ 90°:
Position (°2θ)  intensity
23.57  22
24.17  100
28.93  21
33.85  39
34.14  28
35.14  31
45.34  16
48.22  19
48.82  19
53.58  23


9.
NbO3: theoretical PXRD pattern (CuKα), based on the GGA-PBE geometry in the Materials Project.
Kinematic intensities with the Lorentz-polarization factor, no thermal factor.

Crystal structure
a b c (Å): 4.7321 4.7321 3.7174
angles (deg): 90.00 90.00 120.00
Space group P6_3/mmc (No. 194)
One atom of each set of equivalent atoms:
Nb: 0.3333 0.6667 0.2500 x2
O: 0.1811 0.3623 0.7500 x6

Largest 10 diffraction maxima, by angle, 10° ≤ 2θ ≤ 90°:
Position (°2θ)  intensity
21.69  67
32.52  100
38.03  50
44.20  25
49.01  24
50.88  93
63.67  23
65.26  35
68.11  12
81.33  13